Diffraction record for SrMoO3. The XRD peak list is calculated, not measured: it uses the GGA+U geometry in the Materials Project and copper Kα.
No peak broadening, texture or thermal motion is included.

Structural model:
```
10
Lattice="-2.8891 2.8891 4.0288 2.8891 -2.8891 4.0288 2.8891 2.8891 -4.0288" Properties=species:S:1:pos:R:3 pbc="T T T"
Sr 2.8891 0.0000 2.0144
Sr 0.0000 2.8891 2.0144
Mo 0.0000 0.0000 0.0000
Mo 0.0000 0.0000 4.0288
O 4.0235 1.1344 0.0000
O 0.0000 0.0000 2.0144
O 1.1344 1.7547 0.0000
O 1.7547 1.1344 4.0288
O 0.0000 0.0000 6.0433
O -1.1344 1.7547 4.0288
```

The 10 most intense peaks (10° ≤ 2θ ≤ 90°), low angle first:
| d/Å | Rel. int. |
| --- | --- |
| 2.889 | 58 |
| 2.869 | 100 |
| 2.043 | 33 |
| 2.014 | 17 |
| 1.664 | 45 |
| 1.652 | 22 |
| 1.434 | 20 |
| 1.292 | 11 |
| 1.174 | 9 |
| 1.091 | 11 |